(1)
Calculated X-ray diffraction stick pattern of Ni8Ge2Pt for λ = 1.5418 Å (Cu Kα), from a structure optimized by DFT (GGA-PBE).

Cell and atoms:
a = 3.7211 Å, b = 6.5179 Å, c = 11.0953 Å
α = 90.00°, β = 90.00°, γ = 90.00°
Space group Immm (No. 71)
Inequivalent atoms, fractional coordinates:
Ni: 0.0000 0.0000 0.1578
Ni: 0.0000 0.2263 0.3390
Ni: 0.0000 0.2924 0.0000
Ge: 0.0000 0.5000 0.1844
Pt: 0.0000 0.5000 0.5000

Largest 12 diffraction maxima, in order of rising 2θ, 10 to 90 degrees two-theta:
index  2θ/deg  d_spacing  Rel. int.
0 1 1  15.77  5.620  21
1 1 0  27.60  3.232  11
0 1 3  27.73  3.217  11
1 1 2  32.05  2.792  14
0 3 1  42.39  2.132  11
1 1 4  42.97  2.105  18
1 2 3  44.33  2.043  100
2 0 0  48.96  1.861  20
0 0 6  49.28  1.849  18
2 0 6  72.00  1.312  11
3 2 3  88.36  1.106  13
1 2 9  88.85  1.101  10

(2)
Calculated X-ray diffraction stick pattern of Ni5GePt4 for λ = 1.5418 Å (Cu Kα), from a structure optimized by DFT (GGA-PBE).

Cell and atoms:
a = 11.5883 Å, b = 3.5842 Å, c = 7.4827 Å
α = 90.00°, β = 117.87°, γ = 90.00°
Space group C2/m (No. 12)
Inequivalent atoms, fractional coordinates:
Ni: 0.0000 0.0000 0.0000
Ni: 0.0728 0.5000 0.2623
Ni: 0.0863 0.0000 0.7283
Ge: 0.0000 0.5000 0.5000
Pt: 0.1678 0.5000 0.0162
Pt: 0.2479 0.5000 0.6504

Largest 12 diffraction maxima, in order of rising 2θ, 10 to 90 degrees two-theta:
index  2θ/deg  d_spacing  Rel. int.
2 0 0  17.31  5.122  36
4 0 -1  31.00  2.885  17
1 1 -2  34.89  2.572  54
3 1 0  36.34  2.472  17
3 1 -2  37.32  2.410  85
0 0 3  40.94  2.205  37
3 1 1  43.18  2.095  100
3 1 -3  44.88  2.020  31
6 0 -2  47.15  1.928  41
0 2 0  50.96  1.792  36
0 2 3  67.33  1.391  15
6 2 -2  71.92  1.313  15

(3)
Calculated X-ray diffraction stick pattern of Sm2NiGe4Pt3 for λ = 1.5418 Å (Cu Kα), from a structure optimized by DFT (GGA-PBE).

Cell and atoms:
a = 4.2880 Å, b = 4.2880 Å, c = 10.1769 Å
α = 90.00°, β = 90.00°, γ = 90.00°
Space group P-4m2 (No. 115)
Inequivalent atoms, fractional coordinates:
Sm: 0.0000 0.5000 0.2437
Ni: 0.5000 0.5000 0.0000
Ge: 0.0000 0.0000 0.5000
Ge: 0.0000 0.5000 0.8752
Ge: 0.5000 0.5000 0.5000
Pt: 0.0000 0.0000 0.0000
Pt: 0.0000 0.5000 0.6325

Largest 12 diffraction maxima, in order of rising 2θ, 10 to 90 degrees two-theta:
index  2θ/deg  d_spacing  Rel. int.
1 0 2  27.20  3.279  26
1 1 0  29.46  3.032  25
1 0 3  33.69  2.660  80
1 1 2  34.43  2.605  100
2 0 0  42.15  2.144  80
1 1 4  46.60  1.949  32
1 0 5  49.58  1.839  35
2 1 3  55.01  1.669  40
2 2 0  61.13  1.516  27
2 1 5  67.05  1.396  29
3 1 2  72.08  1.310  27
2 0 8  89.61  1.094  19

Q: Number 1 is which compound?
A: Ni8Ge2Pt